Computed powder XRD pattern of MnFeCl4 for Cu Ka, from DFT lattice parameters and positions (PBE).
Peak positions follow from Bragg's law for the DFT cell and can differ from measured ones.

Principal peaks in the range 5° ≤ 2θ ≤ 70°, sorted by position:
(0 1 1), 14.64 deg, I 72
(1 0 1), 15.06 deg, I 50
(1 2 1), 28.39 deg, I 24
(0 0 4), 34.37 deg, I 52
(2 2 0), 34.90 deg, I 100
(2 2 4), 49.79 deg, I 63

Cell and atoms:
```
data_MnFeCl4
_chemical_formula_sum 'Mn4 Fe4 Cl16'
_cell_length_a 7.1251
_cell_length_b 7.4291
_cell_length_c 10.4369
_cell_angle_alpha 90.00
_cell_angle_beta 90.00
_cell_angle_gamma 90.00
_space_group_name_H-M_alt 'I m m a'
_space_group_IT_number 74
_space_group_name_Hall '-I 2b 2'
loop_
_atom_site_label
_atom_site_type_symbol
_atom_site_fract_x
_atom_site_fract_y
_atom_site_fract_z
_atom_site_occupancy
Mn1 Mn 0.0000 0.0000 0.0000 1
Fe1 Fe 0.2500 0.2500 0.2500 1
Cl1 Cl 0.0000 0.0171 0.2442 1
Cl2 Cl 0.2438 0.2500 0.0108 1
```

***

Computed powder XRD pattern of La8TlTc2 for Cu Ka, from DFT lattice parameters and positions (PBE).
Peak positions follow from Bragg's law for the DFT cell and can differ from measured ones.

Principal peaks in the range 5° ≤ 2θ ≤ 70°, sorted by position:
(2 0 1), 28.78 deg, I 38
(0 4 1), 29.92 deg, I 60
(3 1 -1), 32.26 deg, I 39
(2 4 0), 32.53 deg, I 100
(3 3 0), 36.33 deg, I 21
(2 4 2), 49.96 deg, I 19

Cell and atoms:
```
data_La8TlTc2
_chemical_formula_sum 'La16 Tl2 Tc4'
_cell_length_a 8.9069
_cell_length_b 14.2200
_cell_length_c 5.6406
_cell_angle_alpha 90.00
_cell_angle_beta 102.49
_cell_angle_gamma 90.00
_space_group_name_H-M_alt 'C 1 m 1'
_space_group_IT_number 8
loop_
_space_group_symop_operation_xyz
'x,y,z'
'x,-y,z'
'x+1/2,y+1/2,z'
'x+1/2,-y+1/2,z'
loop_
_atom_site_label
_atom_site_type_symbol
_atom_site_fract_x
_atom_site_fract_y
_atom_site_fract_z
_atom_site_occupancy
La1 La 0.0000 0.0000 0.0000 1
La2 La 0.0957 0.2481 0.7901 1
La3 La 0.1960 0.0000 0.5854 1
La4 La 0.2987 0.3722 0.3406 1
La5 La 0.3940 0.1283 0.2400 1
Tl1 Tl 0.0979 0.5000 0.7902 1
Tc1 Tc 0.0976 0.2007 0.2937 1
```

***

Computed powder XRD pattern of NaPrNb4N8 for Cu Ka, from DFT lattice parameters and positions (PBE).
Peak positions follow from Bragg's law for the DFT cell and can differ from measured ones.

Principal peaks in the range 5° ≤ 2θ ≤ 70°, sorted by position:
(1 0 4), 27.05 deg, I 84
(0 1 5), 31.69 deg, I 50
(1 1 3), 32.42 deg, I 86
(0 2 1), 32.77 deg, I 100
(2 0 8), 55.77 deg, I 41
(2 2 0), 57.61 deg, I 39

Cell and atoms:
```
data_NaPrNb4N8
_chemical_formula_sum 'Na3 Pr3 Nb12 N24'
_cell_length_a 6.4001
_cell_length_b 6.4001
_cell_length_c 16.4026
_cell_angle_alpha 90.00
_cell_angle_beta 90.00
_cell_angle_gamma 120.00
_space_group_name_H-M_alt 'R 3 m'
_space_group_IT_number 160
_space_group_name_Hall 'R 3 -2"'
loop_
_atom_site_label
_atom_site_type_symbol
_atom_site_fract_x
_atom_site_fract_y
_atom_site_fract_z
_atom_site_occupancy
Na1 Na 0.0000 0.0000 0.0000 1
Pr1 Pr 0.0000 0.0000 0.3806 1
Nb1 Nb 0.0000 0.0000 0.6274 1
Nb2 Nb 0.1725 0.3450 0.8347 1
N1 N 0.0000 0.0000 0.2389 1
N2 N 0.0000 0.0000 0.7658 1
N3 N 0.0127 0.5063 0.2457 1
N4 N 0.0422 0.5211 0.7734 1
```

***

Computed powder XRD pattern of BeHgMo for Cu Ka, from DFT lattice parameters and positions (PBE).
Peak positions follow from Bragg's law for the DFT cell and can differ from measured ones.

Principal peaks in the range 5° ≤ 2θ ≤ 70°, sorted by position:
(0 0 2), 16.99 deg, I 62
(0 1 1), 29.32 deg, I 93
(1 0 1), 33.85 deg, I 64
(0 1 3), 38.31 deg, I 100
(1 0 3), 41.99 deg, I 77
(1 1 0), 43.59 deg, I 79

Cell and atoms:
```
data_BeHgMo
_chemical_formula_sum 'Be2 Hg2 Mo2'
_cell_length_a 2.7380
_cell_length_b 3.1850
_cell_length_c 10.4379
_cell_angle_alpha 90.00
_cell_angle_beta 90.00
_cell_angle_gamma 90.00
_space_group_name_H-M_alt 'I m m 2'
_space_group_IT_number 44
loop_
_space_group_symop_operation_xyz
'x,y,z'
'-x,-y,z'
'-x,y,z'
'x,-y,z'
'x+1/2,y+1/2,z+1/2'
'-x+1/2,-y+1/2,z+1/2'
'-x+1/2,y+1/2,z+1/2'
'x+1/2,-y+1/2,z+1/2'
loop_
_atom_site_label
_atom_site_type_symbol
_atom_site_fract_x
_atom_site_fract_y
_atom_site_fract_z
_atom_site_occupancy
Be1 Be 0.0000 0.0000 0.0000 1
Hg1 Hg 0.0000 0.0000 0.6617 1
Mo1 Mo 0.0000 0.0000 0.3693 1
```

***

Computed powder XRD pattern of Er3TmSc8 for Cu Ka, from DFT lattice parameters and positions (PBE).
Peak positions follow from Bragg's law for the DFT cell and can differ from measured ones.

Principal peaks in the range 5° ≤ 2θ ≤ 70°, sorted by position:
(0 0 2), 16.25 deg, I 24
(1 2 1), 24.03 deg, I 100
(1 2 3), 33.54 deg, I 90
(0 4 0), 33.97 deg, I 32
(2 0 2), 34.51 deg, I 32
(2 4 2), 49.21 deg, I 24

Cell and atoms:
```
data_Er3TmSc8
_chemical_formula_sum 'Er6 Tm2 Sc16'
_cell_length_a 5.9110
_cell_length_b 10.5564
_cell_length_c 10.9116
_cell_angle_alpha 90.00
_cell_angle_beta 90.00
_cell_angle_gamma 90.00
_space_group_name_H-M_alt 'I m m m'
_space_group_IT_number 71
_space_group_name_Hall '-I 2 2'
loop_
_atom_site_label
_atom_site_type_symbol
_atom_site_fract_x
_atom_site_fract_y
_atom_site_fract_z
_atom_site_occupancy
Er1 Er 0.0000 0.0000 0.0000 1
Er2 Er 0.0000 0.2492 0.5000 1
Tm1 Tm 0.0000 0.5000 0.0000 1
Sc1 Sc 0.0000 0.2501 0.1746 1
Sc2 Sc 0.2496 0.0000 0.2505 1
```

***

Computed powder XRD pattern of Dy4YRh2 for Cu Ka, from DFT lattice parameters and positions (PBE).
Peak positions follow from Bragg's law for the DFT cell and can differ from measured ones.

Principal peaks in the range 5° ≤ 2θ ≤ 70°, sorted by position:
(0 2 1), 30.62 deg, I 66
(1 2 -1), 31.21 deg, I 50
(2 0 1), 31.58 deg, I 81
(1 0 -3), 34.30 deg, I 53
(1 2 -2), 36.42 deg, I 100
(2 2 0), 37.59 deg, I 70

Cell and atoms:
```
data_Dy4YRh2
_chemical_formula_sum 'Dy8 Y2 Rh4'
_cell_length_a 7.8329
_cell_length_b 6.3790
_cell_length_c 7.8556
_cell_angle_alpha 90.00
_cell_angle_beta 112.58
_cell_angle_gamma 90.00
_space_group_name_H-M_alt 'P 1 21/m 1'
_space_group_IT_number 11
loop_
_space_group_symop_operation_xyz
'x,y,z'
'-x,-y,-z'
'-x,y+1/2,-z'
'x,-y+1/2,z'
loop_
_atom_site_label
_atom_site_type_symbol
_atom_site_fract_x
_atom_site_fract_y
_atom_site_fract_z
_atom_site_occupancy
Dy1 Dy 0.1176 0.2500 0.4823 1
Dy2 Dy 0.1646 0.7500 0.2512 1
Dy3 Dy 0.2624 0.5025 0.9111 1
Y1 Y 0.4745 0.2500 0.3418 1
Rh1 Rh 0.0874 0.2500 0.1258 1
Rh2 Rh 0.4900 0.2500 0.7562 1
```